This entry pairs a crystal structure of SmGdHo2Ga2 with its computed powder diffractogram. Radiation: Cu Ka. Structure: a structure optimized by DFT (PBE).
No peak broadening, texture or thermal motion is included.

Cell and atoms:
```
data_SmGdHo2Ga2
_chemical_formula_sum 'Sm1 Gd1 Ho2 Ga2'
_space_group_name_H-M_alt 'P -6 m 2'
_space_group_IT_number 187
_space_group_name_Hall 'P -6 2'
_cell_length_a 5.1892
_cell_length_b 5.1892
_cell_length_c 6.6096
_cell_angle_alpha 90.00
_cell_angle_beta 90.00
_cell_angle_gamma 120.00
loop_
_atom_site_label
_atom_site_type_symbol
_atom_site_fract_x
_atom_site_fract_y
_atom_site_fract_z
Sm1 Sm 0.0000 0.0000 0.0000
Gd1 Gd 0.6667 0.3333 0.5000
Ho1 Ho 0.3333 0.6667 0.2512
Ga1 Ga 0.0000 0.0000 0.5000
Ga2 Ga 0.6667 0.3333 0.0000
```

Largest 10 diffraction maxima, most intense first, 5 to 70 degrees two-theta:
d (Å)  I (rel.)  index
2.662  100  1 0 2
2.595  93  1 1 0
1.511  35  2 1 2
1.858  35  2 0 2
1.394  27  1 1 4
1.498  17  3 0 0
3.716  14  1 0 1
1.652  8  0 0 4
4.494  6  1 0 0
2.127  3  2 0 1

---

This entry pairs a crystal structure of SmGdGa2I2 with its computed powder diffractogram. Radiation: Cu Ka. Structure: a structure optimized by DFT (PBE).
No peak broadening, texture or thermal motion is included.

Cell and atoms:
```
data_SmGdGa2I2
_chemical_formula_sum 'Sm1 Gd1 Ga2 I2'
_space_group_name_H-M_alt 'P 3 m 1'
_space_group_IT_number 156
_cell_length_a 4.2377
_cell_length_b 4.2377
_cell_length_c 12.3334
_cell_angle_alpha 90.00
_cell_angle_beta 90.00
_cell_angle_gamma 120.00
loop_
_space_group_symop_operation_xyz
'x,y,z'
'-y,x-y,z'
'-x+y,-x,z'
'-y,-x,z'
'-x+y,y,z'
'x,x-y,z'
loop_
_atom_site_label
_atom_site_type_symbol
_atom_site_fract_x
_atom_site_fract_y
_atom_site_fract_z
Sm1 Sm 0.0000 0.0000 0.0000
Gd1 Gd 0.0000 0.0000 0.3325
Ga1 Ga 0.3333 0.6667 0.1943
Ga2 Ga 0.6667 0.3333 0.1405
I1 I 0.3333 0.6667 0.8350
I2 I 0.6667 0.3333 0.4948
```

Largest 10 diffraction maxima, most intense first, 5 to 70 degrees two-theta:
d (Å)  I (rel.)  index
2.738  100  1 0 3
12.333  66  0 0 1
2.119  47  1 1 0
3.154  44  1 0 2
3.518  38  1 0 1
1.475  24  1 1 6
1.676  23  0 2 3
2.047  18  0 1 5
2.056  12  0 0 6
6.167  11  0 0 2

---

This entry pairs a crystal structure of GdYGa2I2 with its computed powder diffractogram. Radiation: Cu Ka. Structure: a structure optimized by DFT (PBE).
No peak broadening, texture or thermal motion is included.

Cell and atoms:
```
data_GdYGa2I2
_chemical_formula_sum 'Gd1 Y1 Ga2 I2'
_space_group_name_H-M_alt 'P 3 m 1'
_space_group_IT_number 156
_cell_length_a 4.2188
_cell_length_b 4.2188
_cell_length_c 12.2252
_cell_angle_alpha 90.00
_cell_angle_beta 90.00
_cell_angle_gamma 120.00
loop_
_space_group_symop_operation_xyz
'x,y,z'
'-y,x-y,z'
'-x+y,-x,z'
'-y,-x,z'
'-x+y,y,z'
'x,x-y,z'
loop_
_atom_site_label
_atom_site_type_symbol
_atom_site_fract_x
_atom_site_fract_y
_atom_site_fract_z
Gd1 Gd 0.0000 0.0000 0.0000
Y1 Y 0.0000 0.0000 0.6690
Ga1 Ga 0.3333 0.6667 0.8623
Ga2 Ga 0.6667 0.3333 0.8068
I1 I 0.3333 0.6667 0.5055
I2 I 0.6667 0.3333 0.1644
```

Largest 10 diffraction maxima, most intense first, 5 to 70 degrees two-theta:
d (Å)  I (rel.)  index
2.720  100  1 0 3
12.225  68  0 0 1
3.136  52  1 0 2
2.109  51  1 1 0
3.501  44  1 0 1
1.465  31  1 1 6
1.667  23  0 2 3
2.032  21  0 1 5
2.038  12  0 0 6
2.344  11  0 1 4

---

This entry pairs a crystal structure of GdInGa2 with its computed powder diffractogram. Radiation: Cu Ka. Structure: a structure optimized by DFT (PBE).
No peak broadening, texture or thermal motion is included.

Cell and atoms:
```
data_GdInGa2
_chemical_formula_sum 'Gd4 In4 Ga8'
_space_group_name_H-M_alt 'A m a 2'
_space_group_IT_number 40
_cell_length_a 4.767
_cell_length_b 11.293
_cell_length_c 6.468
_cell_angle_alpha 90.00
_cell_angle_beta 90.00
_cell_angle_gamma 90.00
loop_
_space_group_symop_operation_xyz
'x,y,z'
'-x,-y,z'
'-x+1/2,y,z'
'x+1/2,-y,z'
'x,y+1/2,z+1/2'
'-x,-y+1/2,z+1/2'
'-x+1/2,y+1/2,z+1/2'
'x+1/2,-y+1/2,z+1/2'
loop_
_atom_site_label
_atom_site_type_symbol
_atom_site_fract_x
_atom_site_fract_y
_atom_site_fract_z
Gd1 Gd 0.250 0.169 0.000
In1 In 0.250 0.421 0.221
Ga1 Ga 0.250 0.152 0.482
Ga2 Ga 0.250 0.429 0.764
```

Largest 10 diffraction maxima, most intense first, 5 to 70 degrees two-theta:
d (Å)  I (rel.)  index
2.418  100  1 2 2
2.429  55  1 4 0
2.383  34  2 0 0
2.806  28  0 2 2
3.634  24  1 1 1
1.627  18  0 6 2
1.383  17  3 2 2
1.817  15  2 2 2
1.346  14  1 4 4
2.823  11  0 4 0